Record 1
Diffraction record for ZnIrO4. The X-ray powder pattern is calculated, not measured: it uses DFT lattice parameters and positions (PBE) and Cu Kα, 1.54184 Å.
Lines closer than 0.1° are merged.

Principal peaks in the range 10° ≤ 2θ ≤ 90°, in order of rising 2θ:
| d/Å | two_theta | intensity |
| --- | --- | --- |
| 5.281 | 16.8 | 33 |
| 3.497 | 25.5 | 55 |
| 2.915 | 30.7 | 100 |
| 2.469 | 36.4 | 30 |
| 2.107 | 42.9 | 24 |
| 1.660 | 55.4 | 29 |

abc: 5.2810 4.4837 5.5858
angles: 90.00 90.00 90.00
Space group Pnc2 (No. 30)
One atom of each set of equivalent atoms:
Zn (0.0000, 0.0000, 0.0000) x2
Ir (0.5000, 0.0000, 0.3078) x2
O (0.1866, 0.2144, 0.2866) x4
O (0.3474, 0.7459, 0.5524) x4

***

Record 2
Diffraction record for Zn3IrO6. The X-ray powder pattern is calculated, not measured: it uses DFT lattice parameters and positions (PBE) and Cu Kα, 1.54184 Å.
Lines closer than 0.1° are merged.

Principal peaks in the range 10° ≤ 2θ ≤ 90°, in order of rising 2θ:
| d/Å | two_theta | intensity |
| --- | --- | --- |
| 4.330 | 20.5 | 88 |
| 3.061 | 29.2 | 63 |
| 2.737 | 32.7 | 52 |
| 2.498 | 36.0 | 100 |
| 1.937 | 46.9 | 51 |
| 1.636 | 56.2 | 36 |

abc: 8.6459 8.6459 10.6363
angles: 90.00 90.00 120.00
Space group R-3 (No. 148, hexagonal axes)
One atom of each set of equivalent atoms:
Zn (0.0353, 0.2593, 0.2168) x18
Ir (0.0000, 0.0000, 0.0000) x3
Ir (0.0000, 0.0000, 0.5000) x3
O (0.0126, 0.1826, 0.8828) x18
O (0.0289, 0.2003, 0.4008) x18

***

Record 3
Diffraction record for Ir3Os5. The X-ray powder pattern is calculated, not measured: it uses DFT lattice parameters and positions (PBE) and Cu Kα, 1.54184 Å.
Lines closer than 0.1° are merged.

Principal peaks in the range 10° ≤ 2θ ≤ 90°, in order of rising 2θ:
| d/Å | two_theta | intensity |
| --- | --- | --- |
| 2.390 | 37.6 | 24 |
| 2.180 | 41.4 | 25 |
| 2.096 | 43.2 | 100 |
| 1.380 | 67.9 | 18 |
| 1.242 | 76.8 | 19 |
| 1.166 | 82.8 | 21 |

abc: 2.7594 4.3599 9.5624
angles: 90.00 90.00 90.00
Space group Pmm2 (No. 25)
One atom of each set of equivalent atoms:
Ir (0.0000, 0.0000, 0.0000) x1
Ir (0.0000, 0.5000, 0.1685) x1
Ir (0.5000, 0.0000, 0.2538) x1
Os (0.0000, 0.0000, 0.5039) x1
Os (0.0000, 0.5000, 0.6682) x1
Os (0.5000, 0.0000, 0.7500) x1
Os (0.5000, 0.5000, 0.4211) x1
Os (0.5000, 0.5000, 0.9168) x1

***

Record 4
Diffraction record for IrOs2. The X-ray powder pattern is calculated, not measured: it uses DFT lattice parameters and positions (PBE) and Cu Kα, 1.54184 Å.
Lines closer than 0.1° are merged.

Principal peaks in the range 10° ≤ 2θ ≤ 90°, in order of rising 2θ:
| d/Å | two_theta | intensity |
| --- | --- | --- |
| 2.388 | 37.7 | 24 |
| 2.180 | 41.4 | 25 |
| 2.094 | 43.2 | 100 |
| 1.610 | 57.2 | 15 |
| 1.242 | 76.8 | 19 |
| 1.165 | 82.8 | 21 |

abc: 4.7715 4.3602 8.2789
angles: 90.00 90.00 90.00
Space group Pnma (No. 62)
One atom of each set of equivalent atoms:
Ir (0.1648, 0.2500, 0.1662) x4
Os (0.1673, 0.2500, 0.5025) x4
Os (0.1691, 0.2500, 0.8334) x4

***

Record 5
Diffraction record for IrOs2. The X-ray powder pattern is calculated, not measured: it uses DFT lattice parameters and positions (PBE) and Cu Kα, 1.54184 Å.
Lines closer than 0.1° are merged.

Principal peaks in the range 10° ≤ 2θ ≤ 90°, in order of rising 2θ:
| d/Å | two_theta | intensity |
| --- | --- | --- |
| 2.229 | 40.5 | 100 |
| 1.934 | 47.0 | 33 |
| 1.921 | 47.3 | 16 |
| 1.363 | 68.9 | 21 |
| 1.166 | 82.8 | 26 |
| 1.160 | 83.3 | 13 |

abc: 3.8672 11.5289 3.8701
angles: 90.00 90.00 90.00
Space group Cmcm (No. 63)
One atom of each set of equivalent atoms:
Ir (0.0000, 0.0839, 0.2500) x4
Os (0.0000, 0.2486, 0.7500) x4
Os (0.0000, 0.4144, 0.2500) x4

***

Record 6
Diffraction record for IrOs7. The X-ray powder pattern is calculated, not measured: it uses DFT lattice parameters and positions (PBE) and Cu Kα, 1.54184 Å.
Lines closer than 0.1° are merged.

Principal peaks in the range 10° ≤ 2θ ≤ 90°, in order of rising 2θ:
| d/Å | two_theta | intensity |
| --- | --- | --- |
| 2.228 | 40.5 | 100 |
| 1.930 | 47.1 | 49 |
| 1.365 | 68.8 | 32 |
| 1.164 | 83.0 | 39 |
| 1.114 | 87.6 | 12 |

abc: 7.7188 7.7188 7.7188
angles: 90.00 90.00 90.00
Space group Fm-3m (No. 225)
One atom of each set of equivalent atoms:
Ir (0.0000, 0.0000, 0.0000) x4
Os (0.0000, 0.0000, 0.5000) x4
Os (0.0000, 0.2500, 0.2500) x24

***

Record 7
Diffraction record for IrOs3. The X-ray powder pattern is calculated, not measured: it uses DFT lattice parameters and positions (PBE) and Cu Kα, 1.54184 Å.
Lines closer than 0.1° are merged.

Principal peaks in the range 10° ≤ 2θ ≤ 90°, in order of rising 2θ:
| d/Å | two_theta | intensity |
| --- | --- | --- |
| 2.333 | 38.6 | 36 |
| 2.232 | 40.4 | 88 |
| 2.217 | 40.7 | 59 |
| 2.090 | 43.3 | 100 |
| 1.929 | 47.1 | 62 |
| 1.165 | 82.9 | 31 |

abc: 5.4658 13.2991 4.7436
angles: 90.00 90.00 90.00
Space group Pmmn (No. 59, origin choice 2)
One atom of each set of equivalent atoms:
Ir (0.2500, 0.0845, 0.1664) x4
Ir (0.2500, 0.7500, 0.5026) x2
Os (0.0002, 0.2500, 0.9994) x4
Os (0.0007, 0.0860, 0.6680) x8
Os (0.2500, 0.2500, 0.5002) x2
Os (0.2500, 0.5846, 0.8330) x4

***

Record 8
Diffraction record for IrOs3. The X-ray powder pattern is calculated, not measured: it uses DFT lattice parameters and positions (PBE) and Cu Kα, 1.54184 Å.
Lines closer than 0.1° are merged.

Principal peaks in the range 10° ≤ 2θ ≤ 90°, in order of rising 2θ:
| d/Å | two_theta | intensity |
| --- | --- | --- |
| 2.387 | 37.7 | 24 |
| 2.178 | 41.5 | 25 |
| 2.093 | 43.2 | 100 |
| 1.378 | 68.0 | 18 |
| 1.241 | 76.8 | 19 |
| 1.165 | 82.9 | 21 |

abc: 2.7576 4.3564 4.7723
angles: 90.00 90.00 90.00
Space group Pmm2 (No. 25)
One atom of each set of equivalent atoms:
Ir (0.0000, 0.0000, 0.0000) x1
Os (0.0000, 0.5000, 0.3342) x1
Os (0.5000, 0.0000, 0.5013) x1
Os (0.5000, 0.5000, 0.8340) x1

***

Record 9
Diffraction record for Ir5Os4. The X-ray powder pattern is calculated, not measured: it uses DFT lattice parameters and positions (PBE) and Cu Kα, 1.54184 Å.
Lines closer than 0.1° are merged.

Principal peaks in the range 10° ≤ 2θ ≤ 90°, in order of rising 2θ:
| d/Å | two_theta | intensity |
| --- | --- | --- |
| 2.231 | 40.4 | 100 |
| 1.934 | 47.0 | 33 |
| 1.928 | 47.1 | 16 |
| 1.365 | 68.7 | 21 |
| 1.166 | 82.8 | 26 |
| 1.163 | 83.0 | 13 |

abc: 8.2046 8.2046 3.8567
angles: 90.00 90.00 90.00
Space group I4/mmm (No. 139)
One atom of each set of equivalent atoms:
Ir (0.0000, 0.0000, 0.0000) x2
Ir (0.0000, 0.3289, 0.0000) x8
Os (0.1684, 0.1684, 0.5000) x8

***

Record 10
Diffraction record for Ir3Os5. The X-ray powder pattern is calculated, not measured: it uses DFT lattice parameters and positions (PBE) and Cu Kα, 1.54184 Å.
Lines closer than 0.1° are merged.

Principal peaks in the range 10° ≤ 2θ ≤ 90°, in order of rising 2θ:
| d/Å | two_theta | intensity |
| --- | --- | --- |
| 2.391 | 37.6 | 25 |
| 2.183 | 41.4 | 38 |
| 2.097 | 43.1 | 100 |
| 2.092 | 43.2 | 50 |
| 1.377 | 68.1 | 18 |
| 1.242 | 76.8 | 19 |

abc: 10.3198 9.5336 5.1727
angles: 90.00 115.33 90.00
Space group C2/c (No. 15)
One atom of each set of equivalent atoms:
Ir (0.0000, 0.0410, 0.2500) x4
Ir (0.1260, 0.2928, 0.5035) x8
Os (0.0000, 0.4572, 0.7500) x4
Os (0.1256, 0.2093, 0.9959) x8
Os (0.2484, 0.4580, 0.2461) x8

***

Record 11
Diffraction record for IrOs2. The X-ray powder pattern is calculated, not measured: it uses DFT lattice parameters and positions (PBE) and Cu Kα, 1.54184 Å.
Lines closer than 0.1° are merged.

Principal peaks in the range 10° ≤ 2θ ≤ 90°, in order of rising 2θ:
| d/Å | two_theta | intensity |
| --- | --- | --- |
| 2.229 | 40.5 | 100 |
| 1.931 | 47.1 | 49 |
| 1.365 | 68.7 | 21 |
| 1.165 | 82.9 | 26 |
| 1.163 | 83.0 | 13 |
| 1.115 | 87.5 | 12 |

abc: 7.7141 2.7310 8.1970
angles: 90.00 90.04 90.00
Space group P2_1/m (No. 11)
One atom of each set of equivalent atoms:
Ir (0.1273, 0.2500, 0.2477) x2
Ir (0.1297, 0.2500, 0.5849) x2
Os (0.1261, 0.2500, 0.9171) x2
Os (0.3748, 0.7500, 0.0814) x2
Os (0.3756, 0.7500, 0.7511) x2
Os (0.3765, 0.7500, 0.4175) x2

***

Record 12
Diffraction record for IrOs5. The X-ray powder pattern is calculated, not measured: it uses DFT lattice parameters and positions (PBE) and Cu Kα, 1.54184 Å.
Lines closer than 0.1° are merged.

Principal peaks in the range 10° ≤ 2θ ≤ 90°, in order of rising 2θ:
| d/Å | two_theta | intensity |
| --- | --- | --- |
| 2.228 | 40.5 | 100 |
| 1.931 | 47.0 | 33 |
| 1.926 | 47.2 | 16 |
| 1.364 | 68.9 | 21 |
| 1.164 | 82.9 | 26 |
| 1.162 | 83.1 | 13 |

abc: 2.7314 2.7314 11.5531
angles: 90.00 90.00 90.00
Space group P4/mmm (No. 123)
One atom of each set of equivalent atoms:
Ir (0.0000, 0.0000, 0.0000) x1
Os (0.0000, 0.0000, 0.3328) x2
Os (0.5000, 0.5000, 0.1689) x2
Os (0.5000, 0.5000, 0.5000) x1

***

Record 13
Diffraction record for Ir3Os5. The X-ray powder pattern is calculated, not measured: it uses DFT lattice parameters and positions (PBE) and Cu Kα, 1.54184 Å.
Lines closer than 0.1° are merged.

Principal peaks in the range 10° ≤ 2θ ≤ 90°, in order of rising 2θ:
| d/Å | two_theta | intensity |
| --- | --- | --- |
| 2.228 | 40.5 | 100 |
| 1.932 | 47.0 | 33 |
| 1.925 | 47.2 | 16 |
| 1.365 | 68.8 | 21 |
| 1.165 | 82.8 | 13 |
| 1.164 | 83.0 | 13 |

abc: 7.7012 7.7338 3.8598
angles: 90.00 90.00 90.00
Space group Cmmm (No. 65)
One atom of each set of equivalent atoms:
Ir (0.0000, 0.0000, 0.0000) x2
Ir (0.2495, 0.5000, 0.5000) x4
Os (0.0000, 0.2513, 0.5000) x4
Os (0.0000, 0.5000, 0.0000) x2
Os (0.2500, 0.2500, 0.0000) x4